[1]
The following is a calculated X-ray diffraction stick pattern of Er2Cl2O. It was derived from DFT lattice parameters and positions (PBE), using a wavelength of 1.5418 Å.

Cell lengths 4.074, 4.074, 12.610 Å; angles 90.00, 90.00, 90.00 degrees
Space group P4/mmm (No. 123)
One atom of each set of equivalent atoms:
Er1 0.000 0.000 0.162 (multiplicity 2)
Cl1 0.000 0.000 0.355 (multiplicity 2)
O1 0.000 0.000 0.000 (multiplicity 1)

Top 6 peaks for 2θ from 10° to 90°, sorted by position:
h k l	two_theta	I_rel
1 0 0	21.81	100
1 0 1	22.94	20
1 0 3	30.56	28
1 1 0	31.04	40
1 0 6	48.75	19
2 1 0	50.06	20

***

[2]
The following is a calculated X-ray diffraction stick pattern of RbErSeCl2O3. It was derived from DFT lattice parameters and positions (PBE), using a wavelength of 1.5418 Å.

Cell lengths 6.606, 7.015, 17.586 Å; angles 90.00, 105.30, 90.00 degrees
Space group P2_1/c (No. 14)
One atom of each set of equivalent atoms:
Rb1 0.236 0.200 0.057 (multiplicity 4)
Er1 0.139 0.655 0.259 (multiplicity 4)
Se1 0.370 0.159 0.294 (multiplicity 4)
Cl1 0.112 0.660 0.107 (multiplicity 4)
Cl2 0.242 0.639 0.415 (multiplicity 4)
O1 0.179 0.168 0.757 (multiplicity 4)
O2 0.184 0.522 0.765 (multiplicity 4)
O3 0.494 0.653 0.276 (multiplicity 4)

Top 6 peaks for 2θ from 10° to 90°, sorted by position:
h k l	two_theta	I_rel
0 0 2	10.43	100
0 0 4	20.95	23
1 0 -4	21.90	22
0 2 1	25.94	52
2 1 -2	30.03	50
2 1 0	30.82	19

***

[3]
The following is a calculated X-ray diffraction stick pattern of ErTiClO3. It was derived from DFT lattice parameters and positions (PBE), using a wavelength of 1.5418 Å.

Cell lengths 9.820, 3.902, 9.870 Å; angles 90.00, 106.80, 90.00 degrees
Space group C2/m (No. 12)
One atom of each set of equivalent atoms:
Er1 0.221 0.000 0.206 (multiplicity 4)
Ti1 0.118 0.500 0.430 (multiplicity 4)
Cl1 0.115 0.000 0.906 (multiplicity 4)
O1 0.079 0.500 0.625 (multiplicity 4)
O2 0.152 0.500 0.253 (multiplicity 4)
O3 0.167 0.000 0.435 (multiplicity 4)

Top 6 peaks for 2θ from 10° to 90°, sorted by position:
h k l	two_theta	I_rel
2 0 0	18.85	90
1 1 -1	25.46	100
2 0 2	30.46	25
1 1 -3	35.72	30
3 1 -1	35.83	49
2 0 -4	37.34	26

***

[4]
The following is a calculated X-ray diffraction stick pattern of Rb3ErCl6. It was derived from DFT lattice parameters and positions (PBE), using a wavelength of 1.5418 Å.

Cell lengths 11.454, 11.454, 11.454 Å; angles 90.00, 90.00, 90.00 degrees
Space group Fm-3m (No. 225)
One atom of each set of equivalent atoms:
Rb1 0.000 0.000 0.000 (multiplicity 4)
Rb2 0.250 0.250 0.250 (multiplicity 8)
Er1 0.000 0.000 0.500 (multiplicity 4)
Cl1 0.000 0.000 0.272 (multiplicity 24)

Top 6 peaks for 2θ from 10° to 90°, sorted by position:
h k l	two_theta	I_rel
2 2 0	21.95	100
4 0 0	31.24	65
4 2 2	38.51	45
4 4 0	44.76	44
6 2 0	50.39	25
6 4 2	60.49	27

***

[5]
The following is a calculated X-ray diffraction stick pattern of Rb3ErCl6. It was derived from DFT lattice parameters and positions (PBE), using a wavelength of 1.5418 Å.

Cell lengths 26.195, 8.019, 12.939 Å; angles 90.00, 99.52, 90.00 degrees
Space group C2/c (No. 15)
One atom of each set of equivalent atoms:
Rb1 0.050 0.246 0.433 (multiplicity 8)
Rb2 0.154 0.187 0.144 (multiplicity 8)
Rb3 0.162 0.313 0.800 (multiplicity 8)
Er1 0.000 0.284 0.750 (multiplicity 4)
Er2 0.250 0.250 0.500 (multiplicity 4)
Cl1 0.058 0.055 0.680 (multiplicity 8)
Cl2 0.058 0.275 0.934 (multiplicity 8)
Cl3 0.058 0.474 0.195 (multiplicity 8)
Cl4 0.173 0.052 0.419 (multiplicity 8)
Cl5 0.177 0.458 0.535 (multiplicity 8)
Cl6 0.250 0.111 0.685 (multiplicity 8)

Top 6 peaks for 2θ from 10° to 90°, sorted by position:
h k l	two_theta	I_rel
1 1 1	13.76	60
3 1 -1	15.89	34
0 2 0	22.17	32
5 1 1	22.52	74
1 1 -3	23.42	100
6 2 -2	32.11	75

***

[6]
The following is a calculated X-ray diffraction stick pattern of ErSCl. It was derived from DFT lattice parameters and positions (PBE), using a wavelength of 1.5418 Å.

Cell lengths 3.958, 5.331, 8.118 Å; angles 90.00, 90.00, 90.00 degrees
Space group Pmmn (No. 59, origin choice 2)
One atom of each set of equivalent atoms:
Er1 0.250 0.250 0.142 (multiplicity 2)
S1 0.250 0.750 0.090 (multiplicity 2)
Cl1 0.250 0.750 0.641 (multiplicity 2)

Top 6 peaks for 2θ from 10° to 90°, sorted by position:
h k l	two_theta	I_rel
0 0 1	10.90	100
0 1 1	19.92	84
1 0 1	25.03	34
1 0 2	31.57	71
1 1 3	43.95	34
1 2 2	46.79	46

***

[7]
The following is a calculated X-ray diffraction stick pattern of Eu2H3Cl. It was derived from DFT lattice parameters and positions (PBE), using a wavelength of 1.5418 Å.

Cell lengths 4.0260, 4.0260, 6.8454 Å; angles 90.00, 90.00, 120.00 degrees
Space group P-3m1 (No. 164)
One atom of each set of equivalent atoms:
Eu1 0.3333 0.6667 0.1993 (multiplicity 2)
H1 0.0000 0.0000 0.0000 (multiplicity 1)
H2 0.3333 0.6667 0.8508 (multiplicity 2)
Cl1 0.0000 0.0000 0.5000 (multiplicity 1)

Top 6 peaks for 2θ from 10° to 90°, sorted by position:
h k l	two_theta	I_rel
1 0 1	28.73	100
0 1 2	36.80	37
1 1 0	45.04	25
0 2 1	54.30	17
1 1 3	61.42	13
2 1 1	73.13	14

***

[8]
The following is a calculated X-ray diffraction stick pattern of KEu2Cl7. It was derived from DFT lattice parameters and positions (PBE), using a wavelength of 1.5418 Å.

Cell lengths 7.180, 13.216, 13.325 Å; angles 90.00, 90.39, 90.00 degrees
Space group P2_1/c (No. 14)
One atom of each set of equivalent atoms:
K1 0.214 0.203 0.462 (multiplicity 4)
Eu1 0.224 0.663 0.750 (multiplicity 4)
Eu2 0.281 0.538 0.262 (multiplicity 4)
Cl1 0.013 0.676 0.330 (multiplicity 4)
Cl2 0.042 0.060 0.627 (multiplicity 4)
Cl3 0.047 0.088 0.882 (multiplicity 4)
Cl4 0.237 0.684 0.103 (multiplicity 4)
Cl5 0.442 0.527 0.869 (multiplicity 4)
Cl6 0.470 0.574 0.617 (multiplicity 4)
Cl7 0.497 0.703 0.324 (multiplicity 4)

Top 6 peaks for 2θ from 10° to 90°, sorted by position:
h k l	two_theta	I_rel
0 0 2	13.29	100
1 1 0	14.04	51
1 1 -2	19.32	39
1 3 1	24.63	65
0 4 3	33.81	37
2 4 -1	37.61	42

***

[9]
The following is a calculated X-ray diffraction stick pattern of KEu2Cl5. It was derived from DFT lattice parameters and positions (PBE), using a wavelength of 1.5418 Å.

Cell lengths 8.867, 7.944, 12.669 Å; angles 90.00, 90.05, 90.00 degrees
Space group P2_1/c (No. 14)
One atom of each set of equivalent atoms:
K1 0.003 0.023 0.324 (multiplicity 4)
Eu1 0.252 0.071 0.006 (multiplicity 4)
Eu2 0.499 0.522 0.178 (multiplicity 4)
Cl1 0.037 0.661 0.411 (multiplicity 4)
Cl2 0.275 0.196 0.785 (multiplicity 4)
Cl3 0.283 0.048 0.503 (multiplicity 4)
Cl4 0.286 0.664 0.683 (multiplicity 4)
Cl5 0.460 0.660 0.399 (multiplicity 4)

Top 6 peaks for 2θ from 10° to 90°, sorted by position:
h k l	two_theta	I_rel
0 1 3	23.86	90
2 1 1	24.04	79
2 0 -2	24.52	82
2 2 -2	33.43	100
2 0 4	34.81	47
2 1 5	42.65	57

***

[10]
The following is a calculated X-ray diffraction stick pattern of K2NaEuCl6. It was derived from DFT lattice parameters and positions (PBE), using a wavelength of 1.5418 Å.

Cell lengths 10.843, 10.843, 10.843 Å; angles 90.00, 90.00, 90.00 degrees
Space group Fm-3m (No. 225)
One atom of each set of equivalent atoms:
K1 0.250 0.250 0.250 (multiplicity 8)
Na1 0.000 0.000 0.000 (multiplicity 4)
Eu1 0.000 0.000 0.500 (multiplicity 4)
Cl1 0.000 0.000 0.251 (multiplicity 24)

Top 6 peaks for 2θ from 10° to 90°, sorted by position:
h k l	two_theta	I_rel
1 1 1	14.15	73
2 0 0	16.35	70
2 2 0	23.20	75
3 1 1	27.28	47
4 0 0	33.04	100
4 4 0	47.43	66

***

[11]
The following is a calculated X-ray diffraction stick pattern of KRb2EuCl6. It was derived from DFT lattice parameters and positions (PBE), using a wavelength of 1.5418 Å.

Cell lengths 11.414, 11.414, 11.414 Å; angles 90.00, 90.00, 90.00 degrees
Space group Fm-3m (No. 225)
One atom of each set of equivalent atoms:
K1 0.000 0.000 0.000 (multiplicity 4)
Rb1 0.250 0.250 0.250 (multiplicity 8)
Eu1 0.000 0.000 0.500 (multiplicity 4)
Cl1 0.000 0.000 0.263 (multiplicity 24)

Top 6 peaks for 2θ from 10° to 90°, sorted by position:
h k l	two_theta	I_rel
1 1 1	13.44	38
2 2 0	22.03	100
4 0 0	31.35	81
4 2 2	38.65	47
4 4 0	44.93	55
6 4 2	60.72	26